Diffraction record for SrLaCoO4. The powder X-ray diffraction pattern is computed, not measured: it uses a cell relaxed with PBE+U and λ = 1.5418 Å (Cu Kα).

Cell and atoms:
Unit cell a=5.4491 b=5.4389 c=7.0152 alpha=90.00 beta=112.85 gamma=90.00
Atoms (fractional coordinates):
Sr 0.1056 0.0000 0.2112
Sr 0.8944 0.5000 0.7888
La 0.3921 0.0011 0.7816
La 0.6079 0.5011 0.2184
Co 0.2433 0.5001 0.4868
Co 0.7567 0.0001 0.5132
O 0.0137 0.7431 0.5067
O 0.0868 0.5008 0.1714
O 0.4293 0.4977 0.8586
O 0.4928 0.2571 0.5058
O 0.5072 0.7571 0.4942
O 0.5707 0.9977 0.1414
O 0.9132 0.0008 0.8286
O 0.9863 0.2431 0.4933

The 8 most intense peaks (10 to 80 degrees two-theta), in order of falling intensity:
| 2θ (°) | d/Å | intensity |
| --- | --- | --- |
| 31.15 | 2.871 | 1000 |
| 32.90 | 2.722 | 678 |
| 57.66 | 1.599 | 354 |
| 47.22 | 1.925 | 353 |
| 43.46 | 2.082 | 260 |
| 64.98 | 1.435 | 168 |
| 42.10 | 2.147 | 149 |
| 54.30 | 1.690 | 145 |

***

Diffraction record for SrLaCoO4. The powder X-ray diffraction pattern is computed, not measured: it uses a cell relaxed with PBE+U and λ = 1.5418 Å (Cu Kα).

Cell and atoms:
Unit cell a=13.3166 b=13.3166 c=13.3166 alpha=156.38 beta=156.30 gamma=33.70
Atoms (fractional coordinates):
Sr 0.0000 0.0000 0.0000
Sr 0.2499 0.7499 0.5000
Sr 0.5000 0.5000 0.0000
Sr 0.7499 0.2499 0.5000
La 0.1426 0.1426 0.0000
La 0.3926 0.8926 0.5000
La 0.6426 0.6426 0.0000
La 0.8926 0.3926 0.5000
Co 0.0694 0.5694 0.5000
Co 0.3195 0.3195 0.0000
Co 0.5694 0.0694 0.5000
Co 0.8195 0.8195 0.0000
O 0.0656 0.5828 0.0007
O 0.0821 0.0828 0.5172
O 0.1545 0.6545 0.5000
O 0.2343 0.2343 0.0000
O 0.3162 0.8151 0.9836
O 0.3315 0.3151 0.4989
O 0.4046 0.4046 0.0000
O 0.4843 0.9843 0.5000
O 0.5656 0.5649 0.4828
O 0.5821 0.0649 0.9993
O 0.6545 0.1545 0.5000
O 0.7343 0.7343 0.0000
O 0.8162 0.8326 0.5011
O 0.8315 0.3326 0.0164
O 0.9046 0.9046 0.0000
O 0.9843 0.4843 0.5000

The 8 most intense peaks (10 to 80 degrees two-theta), in order of falling intensity:
| 2θ (°) | d/Å | intensity |
| --- | --- | --- |
| 31.31 | 2.857 | 1000 |
| 47.08 | 1.930 | 355 |
| 32.75 | 2.734 | 342 |
| 32.87 | 2.725 | 339 |
| 42.53 | 2.126 | 290 |
| 43.67 | 2.073 | 261 |
| 24.09 | 3.694 | 188 |
| 57.56 | 1.601 | 181 |

***

Diffraction record for SrLaCoO4. The powder X-ray diffraction pattern is computed, not measured: it uses a cell relaxed with PBE+U and λ = 1.5418 Å (Cu Kα).

Cell and atoms:
Unit cell a=5.4313 b=12.8715 c=5.4433 alpha=90.00 beta=90.00 gamma=90.00
Atoms (fractional coordinates):
Sr 0.0000 0.1055 0.2500
Sr 0.0000 0.8945 0.7500
Sr 0.5000 0.3945 0.7500
Sr 0.5000 0.6055 0.2500
La 0.0000 0.3906 0.2500
La 0.0000 0.6094 0.7500
La 0.5000 0.1094 0.7500
La 0.5000 0.8906 0.2500
Co 0.0000 0.2442 0.7500
Co 0.0000 0.7558 0.2500
Co 0.5000 0.2558 0.2500
Co 0.5000 0.7442 0.7500
O 0.0000 0.0856 0.7500
O 0.0000 0.4292 0.7500
O 0.0000 0.5708 0.2500
O 0.0000 0.9144 0.2500
O 0.2417 0.2521 0.5086
O 0.2417 0.7479 0.0086
O 0.2583 0.2479 0.0086
O 0.2583 0.7521 0.5086
O 0.5000 0.0708 0.2500
O 0.5000 0.4144 0.2500
O 0.5000 0.5856 0.7500
O 0.5000 0.9292 0.7500
O 0.7417 0.2479 0.4914
O 0.7417 0.7521 0.9914
O 0.7583 0.2521 0.9914
O 0.7583 0.7479 0.4914

The 8 most intense peaks (10 to 80 degrees two-theta), in order of falling intensity:
| 2θ (°) | d/Å | intensity |
| --- | --- | --- |
| 31.24 | 2.863 | 1000 |
| 32.95 | 2.719 | 681 |
| 57.77 | 1.596 | 355 |
| 47.28 | 1.922 | 355 |
| 43.58 | 2.077 | 260 |
| 65.17 | 1.431 | 169 |
| 42.25 | 2.139 | 151 |
| 54.49 | 1.684 | 144 |

***

Diffraction record for SrLaCoO4. The powder X-ray diffraction pattern is computed, not measured: it uses a cell relaxed with PBE+U and λ = 1.5418 Å (Cu Kα).

Cell and atoms:
Unit cell a=3.8536 b=7.6853 c=12.8099 alpha=90.01 beta=90.08 gamma=90.01
Atoms (fractional coordinates):
Sr 0.0000 0.0000 0.0000
Sr 0.0003 0.4964 0.0009
Sr 0.5015 0.2471 0.5013
Sr 0.5015 0.7492 0.4993
La 0.0007 0.0029 0.2861
La 0.0006 0.4934 0.2858
La 0.4993 0.2503 0.7851
La 0.4993 0.7457 0.7859
Co 0.0001 0.4987 0.6372
Co 0.0002 0.9977 0.6406
Co 0.5003 0.2478 0.1369
Co 0.5004 0.7483 0.1396
O 0.0004 0.2485 0.1515
O 0.0004 0.4984 0.4687
O 0.0005 0.4989 0.8119
O 0.0005 0.7407 0.6486
O 0.0003 0.7478 0.1465
O 0.0005 0.2558 0.6488
O 0.0019 0.9980 0.4665
O 0.5002 0.0041 0.1474
O 0.5002 0.2484 0.9691
O 0.5001 0.4988 0.6509
O 0.5000 0.7478 0.9718
O 0.5006 0.2490 0.3114
O 0.5005 0.4922 0.1477
O 0.5008 0.7475 0.3065
O 0.5006 0.9976 0.6458
O 0.9990 0.9974 0.8100

The 8 most intense peaks (10 to 80 degrees two-theta), in order of falling intensity:
| 2θ (°) | d/Å | intensity |
| --- | --- | --- |
| 31.29 | 2.859 | 1000 |
| 32.92 | 2.721 | 672 |
| 42.36 | 2.134 | 291 |
| 43.65 | 2.074 | 261 |
| 24.15 | 3.685 | 187 |
| 57.71 | 1.597 | 179 |
| 57.81 | 1.595 | 177 |
| 47.17 | 1.927 | 177 |